Calculated X-ray powder pattern
Compound: EuTl4Pb
Radiation: Cu Kα X-rays
Structure: a structure optimized by DFT (PBE)

Largest 10 diffraction maxima, by angle, 2θ from 10° to 90°:
d (Å), Position (°2θ), intensity, hkl
5.273, 16.8, 9, 1 1 1
3.229, 27.6, 23, 2 2 0
2.754, 32.5, 100, 3 1 1
2.637, 34.0, 44, 2 2 2
1.864, 48.8, 10, 4 2 2
1.758, 52.0, 36, 3 3 3
1.615, 57.0, 32, 4 4 0
1.393, 67.2, 13, 5 3 3
1.377, 68.1, 18, 6 2 2
1.189, 80.8, 23, 7 3 1

Atomic structure:
Cell lengths 9.1337, 9.1337, 9.1337 Å; angles 90.00, 90.00, 90.00 degrees
Space group F-43m (No. 216)
Symmetry-distinct sites (fractional):
Eu 0.0000 0.0000 0.0000 (multiplicity 4)
Tl 0.1246 0.1246 0.3754 (multiplicity 16)
Pb 0.2500 0.2500 0.7500 (multiplicity 4)